# K2ZrAs2O8
Computed X-ray powder pattern, Cu Kα, 1.54184 Å. Input: a crystal structure in OQMD, relaxed with GGA-PBE.
Intensities are scaled so that the largest is 100.

Largest 6 diffraction maxima, in order of rising 2θ, 10 to 90 degrees two-theta:
2θ/deg, I/Imax, hkl
22.06, 84.9, 0 1 1
27.75, 100.0, 0 1 2
34.71, 60.7, 1 1 0
44.12, 27.5, 1 0 4
45.01, 22.1, 2 0 2
58.05, 22.2, 1 2 2

Structure:
a b c (Å): 5.1692 5.1692 9.2386
angles (deg): 90.00 90.00 120.00
Sites, in units of the cell vectors:
K: 0.3333 0.6667 0.1456
K: 0.6667 0.3333 0.8544
Zr: 0.0000 0.0000 0.5000
As: 0.3333 0.6667 0.6955
As: 0.6667 0.3333 0.3045
O: 0.0321 0.6898 0.6341
O: 0.3102 0.3423 0.6341
O: 0.3333 0.6667 0.8775
O: 0.3423 0.0321 0.3659
O: 0.6577 0.9679 0.6341
O: 0.6667 0.3333 0.1225
O: 0.6898 0.6577 0.3659
O: 0.9679 0.3102 0.3659

# KAs5Os3
Computed X-ray powder pattern, Cu Kα, 1.54184 Å. Input: a crystal structure in OQMD, relaxed with GGA-PBE.
Intensities are scaled so that the largest is 100.

Largest 6 diffraction maxima, in order of rising 2θ, 10 to 90 degrees two-theta:
2θ/deg, I/Imax, hkl
11.23, 100.0, 0 0 1
18.28, 13.9, 1 0 0
37.04, 13.3, 2 0 0
38.82, 30.0, 2 0 1
43.81, 42.1, 2 0 2
51.24, 14.7, 2 0 3

Structure:
a b c (Å): 5.6052 5.6052 7.8817
angles (deg): 90.00 90.00 120.00
Sites, in units of the cell vectors:
K: 0.0000 0.0000 0.0000
As: 0.0000 0.0000 0.5000
As: 0.3333 0.6667 0.2551
As: 0.3333 0.6667 0.7449
As: 0.6667 0.3333 0.2551
As: 0.6667 0.3333 0.7449
Os: 0.0000 0.5000 0.5000
Os: 0.5000 0.0000 0.5000
Os: 0.5000 0.5000 0.5000